Calculated X-ray diffraction stick pattern of DyPaRu2 for Cu Ka, from the PBE geometry in the Materials Project.
Intensities are scaled so that the largest is 100.

Most intense lines, 2θ = 10–80°, by angle:
2θ 22.49, I = 3, (1 1 1); 2θ 26.03, I = 11, (2 0 0); 2θ 37.14, I = 100, (2 2 0); 2θ 43.86, I = 2, (3 1 1); 2θ 45.92, I = 4, (2 2 2); 2θ 53.54, I = 18, (4 0 0); 2θ 58.79, I = 1, (3 3 1); 2θ 60.48, I = 5, (4 2 0); 2θ 66.96, I = 36, (4 2 2); 2θ 79.14, I = 11, (4 4 0)

Structural model:
abc: 6.846 6.846 6.846
angles: 90.00 90.00 90.00
Space group Fm-3m (No. 225)
One atom of each set of equivalent atoms:
Dy: 0.000 0.000 0.000 x4
Pa: 0.000 0.000 0.500 x4
Ru: 0.250 0.250 0.250 x8